(1)
Computed powder X-ray diffraction pattern
Compound: Nd2Zn4Cu5
Radiation: Cu Kα
Structure: a structure optimized by DFT (PBE)
Neutral-atom scattering factors, no anomalous dispersion.

The 10 most intense peaks (10° ≤ 2θ ≤ 90°), in order of rising 2θ:
two_theta, I (rel.)
25.6, 40.6
30.2, 47.5
34.5, 50.8
38.3, 100.0
38.8, 47.8
40.5, 91.7
44.9, 31.7
46.3, 46.1
53.7, 26.1
62.5, 22.7

Structural model:
Lattice parameters (Å, degrees): 9.054 8.299 5.270 80.34 64.64 35.02
Fractional positions:
Nd: 0.137 0.137 0.863
Nd: 0.863 0.863 0.137
Zn: 0.215 0.529 0.471
Zn: 0.471 0.785 0.215
Zn: 0.529 0.215 0.785
Zn: 0.785 0.471 0.529
Cu: 0.000 0.000 0.500
Cu: 0.250 0.250 0.250
Cu: 0.500 0.500 0.000
Cu: 0.500 0.500 0.500
Cu: 0.750 0.750 0.750

---

(2)
Computed powder X-ray diffraction pattern
Compound: La3Ga2Cu
Radiation: Cu Kα
Structure: a structure optimized by DFT (PBE)
Neutral-atom scattering factors, no anomalous dispersion.

The 10 most intense peaks (10° ≤ 2θ ≤ 90°), in order of rising 2θ:
two_theta, I (rel.)
25.7, 42.0
26.7, 33.3
28.9, 49.7
30.1, 100.0
30.3, 36.3
31.0, 30.7
31.3, 38.0
33.3, 97.4
36.4, 47.4
39.8, 69.7

Structural model:
Lattice parameters (Å, degrees): 12.180 4.526 11.775 90.00 90.00 90.00
Fractional positions:
La: 0.049 0.250 0.126
La: 0.127 0.750 0.560
La: 0.223 0.250 0.805
La: 0.277 0.750 0.305
La: 0.373 0.250 0.060
La: 0.451 0.750 0.626
La: 0.549 0.250 0.374
La: 0.627 0.750 0.940
La: 0.723 0.250 0.695
La: 0.777 0.750 0.195
La: 0.873 0.250 0.440
La: 0.951 0.750 0.874
Ga: 0.017 0.750 0.314
Ga: 0.194 0.750 0.000
Ga: 0.306 0.250 0.500
Ga: 0.483 0.250 0.814
Ga: 0.517 0.750 0.186
Ga: 0.694 0.750 0.500
Ga: 0.806 0.250 0.000
Ga: 0.983 0.250 0.686
Cu: 0.121 0.250 0.376
Cu: 0.379 0.750 0.876
Cu: 0.621 0.250 0.124
Cu: 0.879 0.750 0.624

---

(3)
Computed powder X-ray diffraction pattern
Compound: Pm4SmNi2
Radiation: Cu Kα
Structure: a structure optimized by DFT (PBE)
Neutral-atom scattering factors, no anomalous dispersion.

The 10 most intense peaks (10° ≤ 2θ ≤ 90°), in order of rising 2θ:
two_theta, I (rel.)
27.9, 42.0
28.4, 77.2
29.0, 45.0
29.6, 78.3
30.9, 36.3
32.5, 100.0
33.6, 65.8
34.1, 36.3
37.1, 58.2
50.5, 31.3

Structural model:
Lattice parameters (Å, degrees): 6.925 6.772 9.054 90.00 112.38 90.00
Fractional positions:
Pm: 0.174 0.250 0.001
Pm: 0.222 0.000 0.443
Pm: 0.222 0.500 0.443
Pm: 0.258 0.750 0.798
Pm: 0.742 0.250 0.202
Pm: 0.778 0.000 0.557
Pm: 0.778 0.500 0.557
Pm: 0.826 0.750 0.999
Sm: 0.463 0.750 0.204
Sm: 0.537 0.250 0.796
Ni: 0.125 0.250 0.666
Ni: 0.459 0.250 0.334
Ni: 0.541 0.750 0.666
Ni: 0.875 0.750 0.334

---

(4)
Computed powder X-ray diffraction pattern
Compound: CdBi2Pb
Radiation: Cu Kα
Structure: a structure optimized by DFT (PBE)
Neutral-atom scattering factors, no anomalous dispersion.

The 10 most intense peaks (10° ≤ 2θ ≤ 90°), in order of rising 2θ:
two_theta, I (rel.)
31.3, 100.0
35.8, 17.6
36.6, 33.3
52.1, 24.4
52.7, 11.8
61.6, 15.3
62.6, 28.2
65.3, 12.5
85.3, 12.6
86.1, 6.1

Structural model:
Lattice parameters (Å, degrees): 7.020 7.020 7.020 120.64 88.90 120.64
Fractional positions:
Cd: 0.495 0.245 0.250
Cd: 0.505 0.755 0.750
Bi: 0.000 0.248 0.248
Bi: 0.000 0.752 0.752
Bi: 0.500 0.248 0.748
Bi: 0.500 0.752 0.252
Pb: 0.009 0.259 0.750
Pb: 0.991 0.741 0.250

---

(5)
Computed powder X-ray diffraction pattern
Compound: La6Nd2Dy
Radiation: Cu Kα
Structure: a structure optimized by DFT (PBE)
Neutral-atom scattering factors, no anomalous dispersion.

The 10 most intense peaks (10° ≤ 2θ ≤ 90°), in order of rising 2θ:
two_theta, I (rel.)
28.0, 46.6
29.0, 50.8
30.8, 66.8
32.4, 100.0
40.7, 31.6
49.5, 37.2
54.5, 30.4
58.4, 42.1
60.4, 17.9
81.7, 13.9

Structural model:
Lattice parameters (Å, degrees): 3.684 3.684 27.740 90.00 90.00 120.00
Fractional positions:
La: 0.000 0.000 0.062
La: 0.000 0.000 0.281
La: 0.000 0.000 0.719
La: 0.000 0.000 0.938
La: 0.333 0.667 0.395
La: 0.333 0.667 0.605
Nd: 0.333 0.667 0.170
Nd: 0.333 0.667 0.830
Dy: 0.000 0.000 0.500

---

(6)
Computed powder X-ray diffraction pattern
Compound: AcCd4Hg7
Radiation: Cu Kα
Structure: a structure optimized by DFT (PBE)
Neutral-atom scattering factors, no anomalous dispersion.

The 10 most intense peaks (10° ≤ 2θ ≤ 90°), in order of rising 2θ:
two_theta, I (rel.)
31.7, 92.7
32.5, 86.2
32.7, 22.6
33.4, 100.0
34.3, 85.7
35.7, 73.3
36.6, 57.5
44.6, 37.1
48.7, 26.1
60.5, 20.0

Structural model:
Lattice parameters (Å, degrees): 6.068 7.002 7.706 100.16 93.53 99.80
Fractional positions:
Ac: 0.000 0.000 0.000
Cd: 0.201 0.277 0.674
Cd: 0.336 0.425 0.318
Cd: 0.664 0.575 0.682
Cd: 0.799 0.723 0.326
Hg: 0.000 0.500 0.000
Hg: 0.186 0.716 0.645
Hg: 0.291 0.971 0.369
Hg: 0.469 0.759 0.028
Hg: 0.531 0.241 0.972
Hg: 0.709 0.029 0.631
Hg: 0.814 0.284 0.355

---

(7)
Computed powder X-ray diffraction pattern
Compound: LiRe5
Radiation: Cu Kα
Structure: a structure optimized by DFT (PBE)
Neutral-atom scattering factors, no anomalous dispersion.

The 10 most intense peaks (10° ≤ 2θ ≤ 90°), in order of rising 2θ:
two_theta, I (rel.)
12.4, 15.7
23.6, 8.6
37.6, 19.0
40.7, 25.6
43.0, 100.0
56.6, 16.5
68.0, 11.3
75.7, 19.3
82.4, 13.6
83.8, 10.5

Structural model:
Lattice parameters (Å, degrees): 4.433 7.286 7.286 21.86 90.00 90.00
Fractional positions:
Li: 0.000 0.000 0.000
Re: 0.000 0.331 0.331
Re: 0.000 0.664 0.664
Re: 0.500 0.222 0.222
Re: 0.500 0.554 0.554
Re: 0.500 0.891 0.891

---

(8)
Computed powder X-ray diffraction pattern
Compound: Ca2Ac3Ga4Cu2
Radiation: Cu Kα
Structure: a structure optimized by DFT (PBE)
Neutral-atom scattering factors, no anomalous dispersion.

The 10 most intense peaks (10° ≤ 2θ ≤ 90°), in order of rising 2θ:
two_theta, I (rel.)
24.1, 22.0
24.5, 19.4
29.7, 100.0
32.4, 66.6
39.0, 22.8
42.5, 50.7
52.7, 20.4
54.4, 15.6
59.0, 30.0
69.8, 17.5

Structural model:
Lattice parameters (Å, degrees): 4.259 4.259 20.803 90.00 90.00 120.00
Fractional positions:
Ca: 0.333 0.667 0.079
Ca: 0.667 0.333 0.921
Ac: 0.000 0.000 0.277
Ac: 0.000 0.000 0.500
Ac: 0.000 0.000 0.723
Ga: 0.333 0.667 0.389
Ga: 0.333 0.667 0.832
Ga: 0.667 0.333 0.168
Ga: 0.667 0.333 0.611
Cu: 0.333 0.667 0.614
Cu: 0.667 0.333 0.386

---

(9)
Computed powder X-ray diffraction pattern
Compound: Pu3PaS6
Radiation: Cu Kα
Structure: a structure optimized by DFT (PBE)
Neutral-atom scattering factors, no anomalous dispersion.

The 10 most intense peaks (10° ≤ 2θ ≤ 90°), in order of rising 2θ:
two_theta, I (rel.)
23.6, 85.5
24.4, 100.0
26.4, 58.1
27.2, 59.0
27.8, 59.2
31.0, 58.1
34.4, 48.2
42.8, 56.4
46.1, 38.7
46.5, 36.6

Structural model:
Lattice parameters (Å, degrees): 10.957 3.942 11.322 90.00 107.72 90.00
Fractional positions:
Pu: 0.075 0.250 0.166
Pu: 0.179 0.750 0.502
Pu: 0.341 0.250 0.920
Pu: 0.659 0.750 0.080
Pu: 0.821 0.250 0.498
Pu: 0.925 0.750 0.834
Pa: 0.454 0.250 0.306
Pa: 0.546 0.750 0.694
S: 0.017 0.250 0.383
S: 0.095 0.250 0.932
S: 0.254 0.750 0.280
S: 0.316 0.750 0.751
S: 0.392 0.250 0.541
S: 0.418 0.750 0.103
S: 0.582 0.250 0.897
S: 0.608 0.750 0.459
S: 0.684 0.250 0.249
S: 0.746 0.250 0.720
S: 0.905 0.750 0.068
S: 0.983 0.750 0.617

---

(10)
Computed powder X-ray diffraction pattern
Compound: NaAg12Pd6
Radiation: Cu Kα
Structure: a structure optimized by DFT (PBE)
Neutral-atom scattering factors, no anomalous dispersion.

The 10 most intense peaks (10° ≤ 2θ ≤ 90°), in order of rising 2θ:
two_theta, I (rel.)
13.2, 24.0
32.5, 65.8
34.1, 31.6
38.9, 100.0
40.3, 80.1
43.0, 49.3
45.0, 51.0
48.2, 39.5
70.1, 21.9
77.3, 26.2

Structural model:
Lattice parameters (Å, degrees): 7.561 7.561 7.561 106.08 106.08 106.08
Fractional positions:
Na: 0.000 0.000 0.000
Ag: 0.110 0.355 0.355
Ag: 0.113 0.500 0.887
Ag: 0.113 0.887 0.500
Ag: 0.355 0.110 0.355
Ag: 0.355 0.355 0.110
Ag: 0.500 0.113 0.887
Ag: 0.500 0.887 0.113
Ag: 0.645 0.645 0.890
Ag: 0.645 0.890 0.645
Ag: 0.887 0.113 0.500
Ag: 0.887 0.500 0.113
Ag: 0.890 0.645 0.645
Pd: 0.305 0.694 0.694
Pd: 0.306 0.306 0.695
Pd: 0.306 0.695 0.306
Pd: 0.694 0.305 0.694
Pd: 0.694 0.694 0.305
Pd: 0.695 0.306 0.306

---

(11)
Computed powder X-ray diffraction pattern
Compound: Ca3Er2NpAs6
Radiation: Cu Kα
Structure: a structure optimized by DFT (PBE)
Neutral-atom scattering factors, no anomalous dispersion.

The 10 most intense peaks (10° ≤ 2θ ≤ 90°), in order of rising 2θ:
two_theta, I (rel.)
12.9, 43.5
25.3, 20.4
30.4, 100.0
39.7, 12.1
43.3, 36.5
43.8, 36.6
45.9, 12.4
54.3, 19.1
71.5, 15.3
72.2, 15.9

Structural model:
Lattice parameters (Å, degrees): 7.158 7.158 7.257 99.46 99.46 119.97
Fractional positions:
Ca: 0.000 0.000 0.000
Ca: 0.331 0.669 0.000
Ca: 0.669 0.331 0.000
Er: 0.166 0.834 0.500
Er: 0.834 0.166 0.500
Np: 0.500 0.500 0.500
As: 0.102 0.424 0.270
As: 0.256 0.256 0.729
As: 0.424 0.102 0.270
As: 0.576 0.898 0.730
As: 0.744 0.744 0.271
As: 0.898 0.576 0.730

---

(12)
Computed powder X-ray diffraction pattern
Compound: Ac2Rh6C
Radiation: Cu Kα
Structure: a structure optimized by DFT (PBE)
Neutral-atom scattering factors, no anomalous dispersion.

The 10 most intense peaks (10° ≤ 2θ ≤ 90°), in order of rising 2θ:
two_theta, I (rel.)
20.8, 11.8
29.5, 13.0
36.4, 100.0
42.2, 51.3
47.5, 6.4
52.4, 5.6
61.3, 33.9
65.4, 3.3
73.4, 38.6
77.2, 11.5

Structural model:
Lattice parameters (Å, degrees): 6.051 6.051 6.051 60.00 60.00 60.00
Fractional positions:
Ac: 0.250 0.250 0.250
Ac: 0.750 0.750 0.750
Rh: 0.248 0.248 0.752
Rh: 0.248 0.752 0.248
Rh: 0.248 0.752 0.752
Rh: 0.752 0.248 0.248
Rh: 0.752 0.248 0.752
Rh: 0.752 0.752 0.248
C: 0.000 0.000 0.000